# V3Pb2O9
Calculated powder XRD pattern, Cu Kα. Input: DFT lattice parameters and positions (GGA+U).
Peak positions follow from Bragg's law for the DFT cell and can differ from measured ones.

Crystal structure
```
data_V3Pb2O9
_cell_length_a 8.189
_cell_length_b 8.189
_cell_length_c 7.777
_cell_angle_alpha 103.27
_cell_angle_beta 103.27
_cell_angle_gamma 117.73
_symmetry_space_group_name_H-M 'P 1'
_symmetry_Int_Tables_number 1
loop_
_symmetry_equiv_pos_as_xyz
'x,y,z'
loop_
_atom_site_label
_atom_site_fract_x
_atom_site_fract_y
_atom_site_fract_z
_atom_site_occupancy
V1 0.052 0.273 0.199 1
V2 0.182 0.182 0.854 1
V3 0.273 0.052 0.199 1
V4 0.727 0.948 0.801 1
V5 0.818 0.818 0.146 1
V6 0.948 0.727 0.801 1
Pb1 0.267 0.596 0.724 1
Pb2 0.404 0.733 0.276 1
Pb3 0.596 0.267 0.724 1
Pb4 0.733 0.404 0.276 1
O1 0.089 0.907 0.280 1
O2 0.093 0.911 0.720 1
O3 0.115 0.506 0.357 1
O4 0.190 0.382 0.036 1
O5 0.192 0.808 0.000 1
O6 0.278 0.278 0.314 1
O7 0.311 0.311 0.734 1
O8 0.382 0.190 0.036 1
O9 0.494 0.885 0.643 1
O10 0.506 0.115 0.357 1
O11 0.618 0.810 0.964 1
O12 0.689 0.689 0.266 1
O13 0.722 0.722 0.686 1
O14 0.808 0.192 0.000 1
O15 0.810 0.618 0.964 1
O16 0.885 0.494 0.643 1
O17 0.907 0.089 0.280 1
O18 0.911 0.093 0.720 1
```

Most intense lines, 10 to 90 degrees two-theta, in order of rising 2θ:
2θ/deg, I/Imax
21.11, 35
22.34, 100
25.56, 77
29.90, 83
31.45, 32
38.56, 33